Record 1
This entry pairs a crystal structure of V6AgO15 with its simulated X-ray diffraction stick pattern. Radiation: Cu Ka. Structure: DFT lattice parameters and positions (PBE+U).

Largest 10 diffraction maxima, sorted by position, 10 to 90 degrees two-theta:
18.42°, d 4.817, I = 33; 25.92°, d 3.437, I = 52; 27.39°, d 3.256, I = 38; 27.53°, d 3.240, I = 33; 28.76°, d 3.104, I = 99; 29.43°, d 3.035, I = 100; 30.46°, d 2.935, I = 29; 36.00°, d 2.495, I = 31; 44.41°, d 2.040, I = 37; 49.74°, d 1.833, I = 53

Structural model:
Cell lengths 7.3325, 8.1866, 10.3409 Å; angles 110.71, 90.03, 103.34 degrees
Fractional coordinates of all 44 atoms:
V1 0.0788 0.3272 0.3961
V2 0.1083 0.4292 0.0891
V3 0.1892 0.7594 0.3823
V4 0.3075 0.2313 0.6057
V5 0.3963 0.5713 0.9073
V6 0.4152 0.6749 0.6056
V7 0.5848 0.3251 0.3944
V8 0.6037 0.4287 0.0927
V9 0.6925 0.7687 0.3943
V10 0.8108 0.2406 0.6177
V11 0.8917 0.5708 0.9109
V12 0.9212 0.6728 0.6039
Ag1 0.2547 0.0235 0.8888
Ag2 0.7453 0.9765 0.1112
O1 0.0012 0.1314 0.2683
O2 0.0632 0.2099 0.0215
O3 0.0637 0.2668 0.5715
O4 0.1213 0.4803 0.2741
O5 0.1323 0.5218 0.9307
O6 0.1629 0.6134 0.5462
O7 0.1938 0.7822 0.2330
O8 0.2495 0.9992 0.5050
O9 0.3083 0.2394 0.7681
O10 0.3471 0.3533 0.4462
O11 0.3737 0.4911 0.0732
O12 0.3866 0.5326 0.7212
O13 0.4301 0.7347 0.4281
O14 0.4470 0.8742 0.7258
O15 0.4659 0.7912 0.9761
O16 0.5341 0.2088 0.0239
O17 0.5530 0.1258 0.2742
O18 0.5699 0.2653 0.5719
O19 0.6134 0.4674 0.2788
O20 0.6263 0.5089 0.9268
O21 0.6529 0.6467 0.5538
O22 0.6917 0.7606 0.2319
O23 0.7505 0.0008 0.4950
O24 0.8062 0.2178 0.7670
O25 0.8371 0.3866 0.4538
O26 0.8677 0.4782 0.0693
O27 0.8787 0.5197 0.7259
O28 0.9363 0.7332 0.4285
O29 0.9368 0.7901 0.9785
O30 0.9988 0.8686 0.7317

Record 2
This entry pairs a crystal structure of KCr4Cu3O12 with its simulated X-ray diffraction stick pattern. Radiation: Cu Ka. Structure: DFT lattice parameters and positions (PBE+U).

Largest 10 diffraction maxima, sorted by position, 10 to 90 degrees two-theta:
16.94°, d 5.234, I = 5; 29.56°, d 3.022, I = 4; 34.26°, d 2.617, I = 100; 38.46°, d 2.341, I = 7; 42.30°, d 2.137, I = 3; 45.87°, d 1.978, I = 3; 49.24°, d 1.851, I = 25; 61.36°, d 1.511, I = 49; 72.19°, d 1.309, I = 11; 82.40°, d 1.170, I = 16

Structural model:
Cell lengths 6.4105, 6.4105, 6.4105 Å; angles 109.47, 109.47, 109.47 degrees
Fractional coordinates of all 20 atoms:
K1 0.0000 0.0000 0.0000
Cr1 0.0000 0.0000 0.5000
Cr2 0.0000 0.5000 0.0000
Cr3 0.5000 0.0000 0.0000
Cr4 0.5000 0.5000 0.5000
Cu1 0.0000 0.5000 0.5000
Cu2 0.5000 0.0000 0.5000
Cu3 0.5000 0.5000 0.0000
O1 0.1435 0.3185 0.8250
O2 0.1750 0.4934 0.3185
O3 0.1750 0.8565 0.6815
O4 0.3185 0.1750 0.4934
O5 0.3185 0.8250 0.1435
O6 0.4934 0.3185 0.1750
O7 0.5066 0.6815 0.8250
O8 0.6815 0.1750 0.8565
O9 0.6815 0.8250 0.5066
O10 0.8250 0.1435 0.3185
O11 0.8250 0.5066 0.6815
O12 0.8565 0.6815 0.1750

> Which formula does entry 1 have?

V6AgO15

> Which formula does entry 2 have?

KCr4Cu3O12